Diffraction record for Cs2SbF5. The X-ray powder pattern is theoretical, not measured: it uses a cell relaxed with PBE and Cu Kα (weighted mean of Kα1 and Kα2).
Kinematic intensities with the Lorentz-polarization factor, no thermal factor.

Main lines, sorted by position (5° ≤ 2θ ≤ 70°):
24.4 deg, I = 100.0
24.8 deg, I = 39.5
25.0 deg, I = 34.8
25.7 deg, I = 41.3
26.6 deg, I = 49.9
28.4 deg, I = 16.7
29.4 deg, I = 23.6
36.8 deg, I = 35.7
40.0 deg, I = 29.1
45.6 deg, I = 16.8

Structure:
```
data_Cs2SbF5
_chemical_formula_sum 'Cs8 Sb4 F20'
_symmetry_space_group_name_H-M 'P n m a'
_symmetry_Int_Tables_number 62
_cell_length_a 8.5046
_cell_length_b 6.7017
_cell_length_c 13.0568
_cell_angle_alpha 90.00
_cell_angle_beta 90.00
_cell_angle_gamma 90.00
loop_
_symmetry_equiv_pos_as_xyz
'x,y,z'
'-x,-y,-z'
'-x+1/2,-y,z+1/2'
'x+1/2,y,-z+1/2'
'x+1/2,-y+1/2,-z+1/2'
'-x+1/2,y+1/2,z+1/2'
'-x,y+1/2,-z'
'x,-y+1/2,z'
loop_
_atom_site_label
_atom_site_type_symbol
_atom_site_fract_x
_atom_site_fract_y
_atom_site_fract_z
Cs1 Cs 0.0014 0.2500 0.2229
Cs2 Cs 0.1593 0.2500 0.5806
Sb1 Sb 0.1725 0.2500 0.9359
F1 F 0.0000 0.0000 0.0000
F2 F 0.0386 0.2500 0.7999
F3 F 0.1834 0.5239 0.3752
F4 F 0.1845 0.7500 0.5856
```

Diffraction record for Cs2SbF5. The X-ray powder pattern is theoretical, not measured: it uses a cell relaxed with PBE and Cu Kα (weighted mean of Kα1 and Kα2).
Kinematic intensities with the Lorentz-polarization factor, no thermal factor.

Main lines, sorted by position (5° ≤ 2θ ≤ 70°):
24.8 deg, I = 23.0
25.3 deg, I = 100.0
26.2 deg, I = 19.0
35.7 deg, I = 11.3
36.4 deg, I = 32.4
44.0 deg, I = 30.8
45.7 deg, I = 18.7
51.9 deg, I = 14.5
58.1 deg, I = 11.6
59.1 deg, I = 10.4

Structure:
```
data_Cs2SbF5
_chemical_formula_sum 'Cs8 Sb4 F20'
_symmetry_space_group_name_H-M 'C m c m'
_symmetry_Int_Tables_number 63
_symmetry_space_group_name_Hall '-C 2c 2'
_cell_length_a 6.7995
_cell_length_b 15.0780
_cell_length_c 7.1837
_cell_angle_alpha 90.00
_cell_angle_beta 90.00
_cell_angle_gamma 90.00
loop_
_atom_site_label
_atom_site_type_symbol
_atom_site_fract_x
_atom_site_fract_y
_atom_site_fract_z
Cs1 Cs 0.0000 0.0656 0.2500
Cs2 Cs 0.0000 0.2540 0.7500
Sb1 Sb 0.0000 0.4050 0.2500
F1 F 0.0000 0.2723 0.2500
F2 F 0.2207 0.3827 0.0461
```

Diffraction record for Cs2TlSbF6. The X-ray powder pattern is theoretical, not measured: it uses a cell relaxed with PBE and Cu Kα (weighted mean of Kα1 and Kα2).
Kinematic intensities with the Lorentz-polarization factor, no thermal factor.

Main lines, sorted by position (5° ≤ 2θ ≤ 70°):
15.6 deg, I = 2.1
18.0 deg, I = 4.1
25.6 deg, I = 100.0
30.1 deg, I = 3.1
36.5 deg, I = 31.9
40.0 deg, I = 2.5
45.2 deg, I = 42.7
52.6 deg, I = 21.1
59.4 deg, I = 20.6
65.8 deg, I = 6.9

Structure:
```
data_Cs2TlSbF6
_chemical_formula_sum 'Cs8 Tl4 Sb4 F24'
_symmetry_space_group_name_H-M 'F m -3 m'
_symmetry_Int_Tables_number 225
_symmetry_space_group_name_Hall '-F 4 2 3'
_cell_length_a 9.8368
_cell_length_b 9.8368
_cell_length_c 9.8368
_cell_angle_alpha 90.00
_cell_angle_beta 90.00
_cell_angle_gamma 90.00
loop_
_atom_site_label
_atom_site_type_symbol
_atom_site_fract_x
_atom_site_fract_y
_atom_site_fract_z
Cs1 Cs 0.2500 0.2500 0.2500
Tl1 Tl 0.0000 0.0000 0.0000
Sb1 Sb 0.0000 0.0000 0.5000
F1 F 0.0000 0.0000 0.2753
```

Diffraction record for Cs3ScF6. The X-ray powder pattern is theoretical, not measured: it uses a cell relaxed with PBE and Cu Kα (weighted mean of Kα1 and Kα2).
Kinematic intensities with the Lorentz-polarization factor, no thermal factor.

Main lines, sorted by position (5° ≤ 2θ ≤ 70°):
25.8 deg, I = 100.0
26.2 deg, I = 57.2
31.9 deg, I = 10.1
36.2 deg, I = 18.4
37.4 deg, I = 28.2
45.2 deg, I = 22.9
45.9 deg, I = 44.7
53.0 deg, I = 18.2
59.0 deg, I = 11.5
60.8 deg, I = 13.7

Structure:
```
data_Cs3ScF6
_chemical_formula_sum 'Cs6 Sc2 F12'
_symmetry_space_group_name_H-M 'P 4/m n c'
_symmetry_Int_Tables_number 128
_symmetry_space_group_name_Hall '-P 4 2n'
_cell_length_a 6.8081
_cell_length_b 6.8081
_cell_length_c 9.9263
_cell_angle_alpha 90.00
_cell_angle_beta 90.00
_cell_angle_gamma 90.00
loop_
_atom_site_label
_atom_site_type_symbol
_atom_site_fract_x
_atom_site_fract_y
_atom_site_fract_z
Cs1 Cs 0.0000 0.0000 0.0000
Cs2 Cs 0.0000 0.5000 0.2500
Sc1 Sc 0.0000 0.0000 0.5000
F1 F 0.0000 0.0000 0.2936
F2 F 0.1377 0.2670 0.5000
```

Diffraction record for Cs3ScF6. The X-ray powder pattern is theoretical, not measured: it uses a cell relaxed with PBE and Cu Kα (weighted mean of Kα1 and Kα2).
Kinematic intensities with the Lorentz-polarization factor, no thermal factor.

Main lines, sorted by position (5° ≤ 2θ ≤ 70°):
15.7 deg, I = 3.3
25.8 deg, I = 100.0
30.3 deg, I = 6.8
31.7 deg, I = 8.6
36.8 deg, I = 33.7
40.2 deg, I = 6.2
45.5 deg, I = 38.6
53.0 deg, I = 20.7
59.8 deg, I = 21.5
66.2 deg, I = 6.4

Structure:
```
data_Cs3ScF6
_chemical_formula_sum 'Cs12 Sc4 F24'
_symmetry_space_group_name_H-M 'F m -3 m'
_symmetry_Int_Tables_number 225
_symmetry_space_group_name_Hall '-F 4 2 3'
_cell_length_a 9.7758
_cell_length_b 9.7758
_cell_length_c 9.7758
_cell_angle_alpha 90.00
_cell_angle_beta 90.00
_cell_angle_gamma 90.00
loop_
_atom_site_label
_atom_site_type_symbol
_atom_site_fract_x
_atom_site_fract_y
_atom_site_fract_z
Cs1 Cs 0.0000 0.0000 0.0000
Cs2 Cs 0.2500 0.2500 0.2500
Sc1 Sc 0.0000 0.0000 0.5000
F1 F 0.0000 0.0000 0.2910
```

Diffraction record for Cs2ScTlF6. The X-ray powder pattern is theoretical, not measured: it uses a cell relaxed with PBE and Cu Kα (weighted mean of Kα1 and Kα2).
Kinematic intensities with the Lorentz-polarization factor, no thermal factor.

Main lines, sorted by position (5° ≤ 2θ ≤ 70°):
16.1 deg, I = 14.1
26.4 deg, I = 100.0
31.1 deg, I = 15.3
37.7 deg, I = 32.2
41.3 deg, I = 10.5
46.7 deg, I = 40.4
49.7 deg, I = 4.7
54.4 deg, I = 20.4
61.5 deg, I = 20.9
68.1 deg, I = 6.5

Structure:
```
data_Cs2ScTlF6
_chemical_formula_sum 'Cs8 Sc4 Tl4 F24'
_symmetry_space_group_name_H-M 'F m -3 m'
_symmetry_Int_Tables_number 225
_symmetry_space_group_name_Hall '-F 4 2 3'
_cell_length_a 9.5381
_cell_length_b 9.5381
_cell_length_c 9.5381
_cell_angle_alpha 90.00
_cell_angle_beta 90.00
_cell_angle_gamma 90.00
loop_
_atom_site_label
_atom_site_type_symbol
_atom_site_fract_x
_atom_site_fract_y
_atom_site_fract_z
Cs1 Cs 0.2500 0.2500 0.2500
Sc1 Sc 0.0000 0.0000 0.0000
Tl1 Tl 0.0000 0.0000 0.5000
F1 F 0.0000 0.0000 0.2143
```

Diffraction record for CsSnF3. The X-ray powder pattern is theoretical, not measured: it uses a cell relaxed with PBE and Cu Kα (weighted mean of Kα1 and Kα2).
Kinematic intensities with the Lorentz-polarization factor, no thermal factor.

Main lines, sorted by position (5° ≤ 2θ ≤ 70°):
24.3 deg, I = 43.4
25.2 deg, I = 38.9
25.8 deg, I = 36.3
26.4 deg, I = 100.0
35.8 deg, I = 24.6
36.7 deg, I = 23.9
37.7 deg, I = 22.8
44.0 deg, I = 16.9
45.2 deg, I = 16.5
54.4 deg, I = 14.7

Structure:
```
data_CsSnF3
_chemical_formula_sum 'Cs1 Sn1 F3'
_symmetry_space_group_name_H-M 'P 1'
_symmetry_Int_Tables_number 1
_cell_length_a 4.7723
_cell_length_b 4.9158
_cell_length_c 5.0405
_cell_angle_alpha 94.57
_cell_angle_beta 92.35
_cell_angle_gamma 91.17
loop_
_symmetry_equiv_pos_as_xyz
'x,y,z'
loop_
_atom_site_label
_atom_site_type_symbol
_atom_site_fract_x
_atom_site_fract_y
_atom_site_fract_z
Cs1 Cs 0.0000 0.0000 0.0000
Sn1 Sn 0.4985 0.4969 0.5013
F1 F 0.5070 0.9338 0.5429
F2 F 0.5091 0.5241 0.9226
F3 F 0.9565 0.5264 0.5459
```

Diffraction record for CsSnF3. The X-ray powder pattern is theoretical, not measured: it uses a cell relaxed with PBE and Cu Kα (weighted mean of Kα1 and Kα2).
Kinematic intensities with the Lorentz-polarization factor, no thermal factor.

Main lines, sorted by position (5° ≤ 2θ ≤ 70°):
24.8 deg, I = 100.0
26.4 deg, I = 86.1
36.5 deg, I = 51.8
43.6 deg, I = 25.3
44.6 deg, I = 46.5
47.5 deg, I = 17.1
50.8 deg, I = 15.5
54.3 deg, I = 16.3
58.1 deg, I = 21.2
60.6 deg, I = 19.8

Structure:
```
data_CsSnF3
_chemical_formula_sum 'Cs6 Sn6 F18'
_symmetry_space_group_name_H-M 'R 3 c'
_symmetry_Int_Tables_number 161
_symmetry_space_group_name_Hall 'R 3 -2"c'
_cell_length_a 7.1876
_cell_length_b 7.1876
_cell_length_c 16.0859
_cell_angle_alpha 90.00
_cell_angle_beta 90.00
_cell_angle_gamma 120.00
loop_
_atom_site_label
_atom_site_type_symbol
_atom_site_fract_x
_atom_site_fract_y
_atom_site_fract_z
Cs1 Cs 0.0000 0.0000 0.0000
Sn1 Sn 0.0000 0.0000 0.2484
F1 F 0.1270 0.4119 0.3355
```

Diffraction record for Cs2SnF6. The X-ray powder pattern is theoretical, not measured: it uses a cell relaxed with PBE and Cu Kα (weighted mean of Kα1 and Kα2).
Kinematic intensities with the Lorentz-polarization factor, no thermal factor.

Main lines, sorted by position (5° ≤ 2θ ≤ 70°):
23.5 deg, I = 100.0
27.7 deg, I = 60.9
36.6 deg, I = 57.9
38.4 deg, I = 26.2
46.5 deg, I = 27.4
48.0 deg, I = 19.0
56.3 deg, I = 22.2
57.2 deg, I = 14.9
60.9 deg, I = 15.0
62.7 deg, I = 14.2

Structure:
```
data_Cs2SnF6
_chemical_formula_sum 'Cs2 Sn1 F6'
_symmetry_space_group_name_H-M 'P -3 m 1'
_symmetry_Int_Tables_number 164
_symmetry_space_group_name_Hall '-P 3 2"'
_cell_length_a 6.4399
_cell_length_b 6.4399
_cell_length_c 5.1748
_cell_angle_alpha 90.00
_cell_angle_beta 90.00
_cell_angle_gamma 120.00
loop_
_atom_site_label
_atom_site_type_symbol
_atom_site_fract_x
_atom_site_fract_y
_atom_site_fract_z
Cs1 Cs 0.3333 0.6667 0.3057
Sn1 Sn 0.0000 0.0000 0.0000
F1 F 0.1505 0.3009 0.7850
```

Diffraction record for CsSnF3. The X-ray powder pattern is theoretical, not measured: it uses a cell relaxed with PBE and Cu Kα (weighted mean of Kα1 and Kα2).
Kinematic intensities with the Lorentz-polarization factor, no thermal factor.

Main lines, sorted by position (5° ≤ 2θ ≤ 70°):
24.4 deg, I = 56.5
25.3 deg, I = 100.0
25.7 deg, I = 93.1
26.7 deg, I = 43.6
36.2 deg, I = 33.7
36.5 deg, I = 49.8
43.3 deg, I = 21.9
45.6 deg, I = 21.4
46.4 deg, I = 19.6
52.0 deg, I = 17.4

Structure:
```
data_CsSnF3
_chemical_formula_sum 'Cs4 Sn4 F12'
_symmetry_space_group_name_H-M 'P 1 21/c 1'
_symmetry_Int_Tables_number 14
_cell_length_a 4.9613
_cell_length_b 6.6693
_cell_length_c 15.3298
_cell_angle_alpha 90.00
_cell_angle_beta 107.78
_cell_angle_gamma 90.00
loop_
_symmetry_equiv_pos_as_xyz
'x,y,z'
'-x,-y,-z'
'-x,y+1/2,-z+1/2'
'x,-y+1/2,z+1/2'
loop_
_atom_site_label
_atom_site_type_symbol
_atom_site_fract_x
_atom_site_fract_y
_atom_site_fract_z
Cs1 Cs 0.1205 0.0226 0.3584
Sn1 Sn 0.3651 0.0246 0.1157
F1 F 0.0314 0.5495 0.3601
F2 F 0.2931 0.1964 0.5512
F3 F 0.4700 0.6840 0.2633
```

Diffraction record for Cs2TaTlF6. The X-ray powder pattern is theoretical, not measured: it uses a cell relaxed with PBE and Cu Kα (weighted mean of Kα1 and Kα2).
Kinematic intensities with the Lorentz-polarization factor, no thermal factor.

Main lines, sorted by position (5° ≤ 2θ ≤ 70°):
18.3 deg, I = 8.1
26.0 deg, I = 100.0
37.0 deg, I = 29.5
41.6 deg, I = 3.5
45.8 deg, I = 41.8
53.4 deg, I = 19.3
56.9 deg, I = 1.7
60.3 deg, I = 21.2
66.7 deg, I = 6.2
69.8 deg, I = 1.0

Structure:
```
data_Cs2TaTlF6
_chemical_formula_sum 'Cs8 Ta4 Tl4 F24'
_symmetry_space_group_name_H-M 'F m -3 m'
_symmetry_Int_Tables_number 225
_symmetry_space_group_name_Hall '-F 4 2 3'
_cell_length_a 9.7107
_cell_length_b 9.7107
_cell_length_c 9.7107
_cell_angle_alpha 90.00
_cell_angle_beta 90.00
_cell_angle_gamma 90.00
loop_
_atom_site_label
_atom_site_type_symbol
_atom_site_fract_x
_atom_site_fract_y
_atom_site_fract_z
Cs1 Cs 0.2500 0.2500 0.2500
Ta1 Ta 0.0000 0.0000 0.0000
Tl1 Tl 0.0000 0.0000 0.5000
F1 F 0.0000 0.0000 0.2131
```

Diffraction record for Cs2TcF6. The X-ray powder pattern is theoretical, not measured: it uses a cell relaxed with PBE and Cu Kα (weighted mean of Kα1 and Kα2).
Kinematic intensities with the Lorentz-polarization factor, no thermal factor.

Main lines, sorted by position (5° ≤ 2θ ≤ 70°):
23.6 deg, I = 100.0
28.1 deg, I = 59.2
37.0 deg, I = 59.7
38.5 deg, I = 24.3
47.1 deg, I = 25.6
48.3 deg, I = 17.6
56.8 deg, I = 20.6
58.0 deg, I = 14.3
61.3 deg, I = 12.8
63.5 deg, I = 13.6

Structure:
```
data_Cs2TcF6
_chemical_formula_sum 'Cs2 Tc1 F6'
_symmetry_space_group_name_H-M 'P -3 m 1'
_symmetry_Int_Tables_number 164
_symmetry_space_group_name_Hall '-P 3 2"'
_cell_length_a 6.3612
_cell_length_b 6.3612
_cell_length_c 5.1575
_cell_angle_alpha 90.00
_cell_angle_beta 90.00
_cell_angle_gamma 120.00
loop_
_atom_site_label
_atom_site_type_symbol
_atom_site_fract_x
_atom_site_fract_y
_atom_site_fract_z
Cs1 Cs 0.3333 0.6667 0.2986
Tc1 Tc 0.0000 0.0000 0.0000
F1 F 0.1494 0.2988 0.7882
```